K3In: calculated powder diffractogram (Cu Kα (λ = 1.5418 Å)), based on a DFT-relaxed cell (GGA-PBE, Alexandria).

Largest 10 diffraction maxima, in order of rising 2θ, 2θ = 5–70°:
d/Å, 2theta, I_rel, h k l
5.383, 16.5, 22.8, 0 1 1
5.136, 17.3, 22.2, 1 1 0
3.543, 25.1, 22.9, 0 2 1
3.307, 27.0, 39.3, 2 0 0
3.151, 28.3, 48.3, 1 0 2
3.123, 28.6, 100.0, 1 2 1
2.418, 37.2, 15.5, 2 2 1
2.061, 43.9, 20.4, 0 2 3
1.872, 48.6, 20.9, 3 2 1
1.749, 52.3, 22.3, 2 2 3

Atomic structure:
```
K3In
1.0
6.615 0.000 0.000
0.000 8.152 0.000
0.000 0.000 7.168
K In
6 2
direct
0.250 0.003 0.174 K
0.250 0.497 0.174 K
0.250 0.750 0.627 K
0.750 0.250 0.373 K
0.750 0.503 0.826 K
0.750 0.997 0.826 K
0.250 0.250 0.677 In
0.750 0.750 0.323 In
```